Entry 1:
The following is a computed powder X-ray diffraction pattern of LaPrCu2B2N2. It was derived from a crystal structure in OQMD, relaxed with PBE, using a wavelength of 1.5418 Å.
No peak broadening, texture or thermal motion is included.

Structural model:
Cell: 3.704 3.704 7.808 Å, 90.00 90.00 90.00°
Space group P4mm (No. 99)
Inequivalent atoms, fractional coordinates:
1 La 0.000 0.000 0.000 [1 per cell]
2 Pr 0.500 0.500 0.340 [1 per cell]
3 Cu 0.000 0.500 0.667 [2 per cell]
4 B 0.000 0.000 0.502 [1 per cell]
5 B 0.500 0.500 0.835 [1 per cell]
6 N 0.000 0.000 0.318 [1 per cell]
7 N 0.500 0.500 0.019 [1 per cell]

Most intense lines, 10 to 90 degrees two-theta, by angle:
26.64°, d = 3.346 Å, I 100.0
33.35°, d = 2.687 Å, I 66.3
34.46°, d = 2.603 Å, I 55.6
36.18°, d = 2.483 Å, I 84.5
41.52°, d = 2.175 Å, I 66.8
49.20°, d = 1.852 Å, I 45.4
56.82°, d = 1.620 Å, I 26.8
61.45°, d = 1.509 Å, I 39.5

---

Entry 2:
The following is a computed powder X-ray diffraction pattern of LiCu2B. It was derived from a crystal structure in OQMD, relaxed with PBE, using a wavelength of 1.5418 Å.
No peak broadening, texture or thermal motion is included.

Structural model:
Cell: 5.467 5.467 5.467 Å, 90.00 90.00 90.00°
Space group Pm-3m (No. 221)
Inequivalent atoms, fractional coordinates:
1 Li 0.000 0.000 0.000 [1 per cell]
2 Li 0.000 0.000 0.500 [3 per cell]
3 Cu 0.273 0.273 0.273 [8 per cell]
4 B 0.000 0.500 0.500 [3 per cell]
5 B 0.500 0.500 0.500 [1 per cell]

Most intense lines, 10 to 90 degrees two-theta, by angle:
16.21°, d = 5.467 Å, I 19.2
32.76°, d = 2.733 Å, I 100.0
47.01°, d = 1.933 Å, I 95.7
58.48°, d = 1.578 Å, I 19.6
61.12°, d = 1.516 Å, I 13.2
68.67°, d = 1.367 Å, I 11.8
78.20°, d = 1.222 Å, I 18.9
87.39°, d = 1.116 Å, I 20.4